This entry pairs a crystal structure of CsRbS14 with its theoretical X-ray diffraction stick pattern. Radiation: Cu Ka. Structure: a crystal structure in Alexandria, relaxed with GGA-PBE.
No peak broadening, texture or thermal motion is included.

Atomic structure:
```
CsRbS14
1.0
10.5447 -4.8074 0.0000
10.5447 4.8074 0.0000
-6.2991 0.0000 10.4269
Cs Rb S
2 2 28
direct
0.0963 0.9037 0.7500 Cs
0.9037 0.0963 0.2500 Cs
0.5000 0.5000 0.0000 Rb
0.5000 0.5000 0.5000 Rb
0.0256 0.3204 0.1950 S
0.0363 0.6478 0.3573 S
0.1149 0.4388 0.3737 S
0.1786 0.1788 0.0798 S
0.1788 0.1786 0.5798 S
0.2201 0.6743 0.1614 S
0.2762 0.4713 0.1774 S
0.2911 0.4989 0.6633 S
0.3204 0.0256 0.6950 S
0.3257 0.7799 0.3386 S
0.3522 0.9637 0.1427 S
0.4388 0.1149 0.8737 S
0.4713 0.2762 0.6774 S
0.4989 0.2911 0.1633 S
0.5011 0.7089 0.8367 S
0.5287 0.7238 0.3226 S
0.5612 0.8851 0.1263 S
0.6478 0.0363 0.8573 S
0.6743 0.2201 0.6614 S
0.6796 0.9744 0.3050 S
0.7089 0.5011 0.3367 S
0.7238 0.5287 0.8226 S
0.7799 0.3257 0.8386 S
0.8212 0.8214 0.4202 S
0.8214 0.8212 0.9202 S
0.8851 0.5612 0.6263 S
0.9637 0.3522 0.6427 S
0.9744 0.6796 0.8050 S
```

Main lines, in order of rising 2θ (2θ from 10° to 80°):
18.19°, intensity 59
20.34°, intensity 46
22.07°, intensity 61
23.43°, intensity 100
29.39°, intensity 67
30.36°, intensity 45